(1)
Starting from the PBE geometry in Alexandria, the powder diffractogram of Th2Ni2Os was computed for copper Kα.
Intensities are scaled so that the largest is 100.

Top 8 peaks for 10° ≤ 2θ ≤ 90°, low angle first:
Position (°2θ)  Rel. int.
28.02  29
35.16  100
36.61  12
37.82  28
44.94  17
47.18  13
54.33  17
76.51  11

Structure:
```
5
Lattice="-2.017 3.185 3.853 2.017 -3.185 3.853 2.017 3.185 -3.853" Properties=species:S:1:pos:R:3 pbc="T T T"
Th 0.000 0.000 1.787
Th 0.000 0.000 5.918
Ni 2.017 1.224 0.000
Ni 0.000 1.961 3.853
Os 0.000 3.185 0.000
```

(2)
Starting from the PBE geometry in Alexandria, the powder diffractogram of Nd3Zn4Hg4 was computed for copper Kα.
Intensities are scaled so that the largest is 100.

Top 8 peaks for 10° ≤ 2θ ≤ 90°, low angle first:
Position (°2θ)  Rel. int.
31.09  64
32.37  100
32.55  74
37.69  64
38.76  62
40.06  38
48.51  39
51.19  31

Structure:
```
11
Lattice="3.753 0.000 0.000 -0.005 4.776 0.000 -1.862 -1.849 14.324" Properties=species:S:1:pos:R:3 pbc="T T T"
Nd 0.000 0.000 0.000
Nd 0.001 2.398 4.183
Nd 1.886 0.529 10.142
Zn 0.005 0.503 7.438
Zn 0.004 2.915 11.603
Zn 1.883 0.012 2.721
Zn 1.882 2.424 6.886
Hg 0.008 2.962 8.888
Hg 0.010 0.531 12.857
Hg 1.877 2.397 1.467
Hg 1.879 -0.035 5.436
```

(3)
Starting from the PBE geometry in Alexandria, the powder diffractogram of Ho4Zn3Tc was computed for copper Kα.
Intensities are scaled so that the largest is 100.

Top 8 peaks for 10° ≤ 2θ ≤ 90°, low angle first:
Position (°2θ)  Rel. int.
25.35  15
36.03  100
36.16  51
52.07  18
64.70  16
64.95  35
76.42  10
87.86  16

Structure:
```
8
Lattice="3.513 0.000 0.000 0.000 3.513 0.000 0.000 0.000 14.149" Properties=species:S:1:pos:R:3 pbc="T T T"
Ho 0.000 0.000 1.608
Ho 0.000 0.000 5.279
Ho 0.000 0.000 8.870
Ho 0.000 0.000 12.541
Zn 1.756 1.756 3.466
Zn 1.756 1.756 7.075
Zn 1.756 1.756 10.683
Tc 1.756 1.756 0.000
```

(4)
Starting from the PBE geometry in Alexandria, the powder diffractogram of Nd4Cu2Hg was computed for copper Kα.
Intensities are scaled so that the largest is 100.

Top 8 peaks for 10° ≤ 2θ ≤ 90°, low angle first:
Position (°2θ)  Rel. int.
24.53  16
26.81  17
32.17  17
34.79  100
35.15  90
50.29  33
62.37  18
62.60  33

Structure:
```
7
Lattice="2.579 1.489 8.298 -2.579 1.489 8.298 0.000 -2.978 8.298" Properties=species:S:1:pos:R:3 pbc="T T T"
Nd 0.000 0.000 2.916
Nd 0.000 0.000 9.202
Nd 0.000 0.000 15.691
Nd 0.000 0.000 21.977
Cu 0.000 0.000 6.166
Cu 0.000 0.000 18.727
Hg 0.000 0.000 12.447
```

(5)
Starting from the PBE geometry in Alexandria, the powder diffractogram of Pm2Sm4Th3 was computed for copper Kα.
Intensities are scaled so that the largest is 100.

Top 8 peaks for 10° ≤ 2θ ≤ 90°, low angle first:
Position (°2θ)  Rel. int.
28.68  47
29.71  54
31.64  72
33.20  100
41.76  32
50.80  39
55.99  31
59.96  45

Structure:
```
9
Lattice="3.595 0.000 0.000 -1.797 3.113 0.000 0.000 0.000 27.067" Properties=species:S:1:pos:R:3 pbc="T T T"
Pm 0.000 0.000 0.000
Pm 0.000 0.000 5.867
Sm 0.000 0.000 9.294
Sm 0.000 0.000 15.137
Sm 0.000 2.075 18.152
Sm 0.000 2.075 24.027
Th 0.000 0.000 21.092
Th 0.000 2.075 2.972
Th 0.000 2.075 12.169
```

(6)
Starting from the PBE geometry in Alexandria, the powder diffractogram of Pa3ZnCo3 was computed for copper Kα.
Intensities are scaled so that the largest is 100.

Top 8 peaks for 10° ≤ 2θ ≤ 90°, low angle first:
Position (°2θ)  Rel. int.
31.65  78
33.21  99
34.55  44
36.17  69
37.73  100
40.12  54
41.54  100
51.24  38

Structure:
```
14
Lattice="1.783 -5.192 0.000 1.783 5.192 0.000 0.000 0.000 13.482" Properties=species:S:1:pos:R:3 pbc="T T T"
Pa 1.783 5.025 10.111
Pa 1.783 2.218 8.090
Pa 1.783 2.218 12.133
Pa 1.783 -2.218 1.349
Pa 1.783 -2.218 5.392
Pa 1.783 -5.025 3.370
Zn 0.000 0.000 0.000
Zn 0.000 0.000 6.741
Co 1.783 2.653 3.370
Co 1.783 0.770 1.571
Co 1.783 0.770 5.170
Co 1.783 -0.770 8.312
Co 1.783 -0.770 11.911
Co 1.783 -2.653 10.111
```

(7)
Starting from the PBE geometry in Alexandria, the powder diffractogram of Pm4PrAu4 was computed for copper Kα.
Intensities are scaled so that the largest is 100.

Top 8 peaks for 10° ≤ 2θ ≤ 90°, low angle first:
Position (°2θ)  Rel. int.
30.08  100
30.63  40
36.23  29
41.17  27
42.32  24
43.06  34
45.66  31
67.95  15

Structure:
```
18
Lattice="9.394 0.000 0.000 0.000 9.394 0.000 0.000 0.000 6.142" Properties=species:S:1:pos:R:3 pbc="T T T"
Pm 0.603 6.166 0.994
Pm 1.469 8.791 4.064
Pm 3.228 5.300 4.064
Pm 4.094 7.925 0.994
Pm 5.300 1.469 5.148
Pm 6.166 4.094 2.077
Pm 7.925 0.603 2.077
Pm 8.791 3.228 5.148
Pr 2.349 2.349 1.535
Pr 7.046 7.046 4.606
Au 0.340 5.908 4.010
Au 1.211 9.054 0.940
Au 3.486 5.037 0.940
Au 4.357 8.183 4.010
Au 5.037 1.211 2.131
Au 5.908 4.357 5.202
Au 8.183 0.340 5.202
Au 9.054 3.486 2.131
```

(8)
Starting from the PBE geometry in Alexandria, the powder diffractogram of AlSi was computed for copper Kα.
Intensities are scaled so that the largest is 100.

Top 8 peaks for 10° ≤ 2θ ≤ 90°, low angle first:
Position (°2θ)  Rel. int.
25.94  100
26.33  89
33.80  41
38.87  72
39.05  68
46.00  89
46.71  40
50.99  62

Structure:
```
4
Lattice="2.424 -3.434 0.000 2.424 3.434 0.000 -1.416 0.000 4.613" Properties=species:S:1:pos:R:3 pbc="T T T"
Al 0.725 0.000 1.272
Al 2.706 0.000 3.341
Si 0.259 -0.978 3.619
Si 3.172 -0.978 0.994
```

(9)
Starting from the PBE geometry in Alexandria, the powder diffractogram of La5Y8Ho was computed for copper Kα.
Intensities are scaled so that the largest is 100.

Top 8 peaks for 10° ≤ 2θ ≤ 90°, low angle first:
Position (°2θ)  Rel. int.
22.20  33
27.75  74
28.87  79
29.01  91
33.41  100
34.00  54
34.34  44
62.32  26

Structure:
```
14
Lattice="6.874 -5.108 0.000 6.874 5.108 0.000 -6.866 0.000 6.893" Properties=species:S:1:pos:R:3 pbc="T T T"
La 0.000 0.000 0.000
La 4.624 0.805 0.750
La -0.740 -0.813 4.631
La 2.258 0.805 6.143
La 7.621 -0.813 2.262
Y 4.131 4.121 1.751
Y -0.640 2.607 5.115
Y 2.751 4.121 5.142
Y 1.747 0.983 2.752
Y 7.522 2.607 1.778
Y 5.135 0.983 4.141
Y 5.091 -2.608 0.641
Y 1.790 -2.608 6.252
Ho 3.441 -2.564 3.447
```

(10)
Starting from the PBE geometry in Alexandria, the powder diffractogram of ZrZnN2 was computed for copper Kα.
Intensities are scaled so that the largest is 100.

Top 8 peaks for 10° ≤ 2θ ≤ 90°, low angle first:
Position (°2θ)  Rel. int.
31.23  22
33.57  20
35.57  100
46.50  27
55.57  25
61.33  21
66.51  16
67.74  14

Structure:
```
4
Lattice="3.307 0.000 0.000 -1.654 2.864 0.000 0.000 0.000 5.339" Properties=species:S:1:pos:R:3 pbc="T T T"
Zr 0.000 0.000 0.000
Zn 1.654 0.955 2.389
N 0.000 1.910 1.375
N 1.654 0.955 4.347
```

(11)
Starting from the PBE geometry in Alexandria, the powder diffractogram of K2RhIO6 was computed for copper Kα.
Intensities are scaled so that the largest is 100.

Top 8 peaks for 10° ≤ 2θ ≤ 90°, low angle first:
Position (°2θ)  Rel. int.
17.65  30
18.40  100
29.85  26
30.36  95
35.08  40
47.06  29
57.03  24
63.16  22

Structure:
```
20
Lattice="2.944 1.700 9.858 -2.944 1.700 9.858 0.000 -3.400 9.858" Properties=species:S:1:pos:R:3 pbc="T T T"
K 0.000 0.000 3.657
K 0.000 0.000 8.434
K 0.000 0.000 21.139
K 0.000 0.000 25.916
Rh 0.000 0.000 12.051
Rh 0.000 0.000 17.522
I 0.000 0.000 0.000
I 0.000 0.000 14.787
O -1.291 -0.745 13.559
O 0.000 -1.730 11.033
O -1.498 0.865 11.033
O -1.498 -0.865 18.540
O 0.000 -1.490 16.014
O -1.291 0.745 16.014
O 1.291 -0.745 13.559
O 0.000 1.490 13.559
O 1.498 0.865 11.033
O 1.498 -0.865 18.540
O 0.000 1.730 18.540
O 1.291 0.745 16.014
```

(12)
Starting from the PBE geometry in Alexandria, the powder diffractogram of Er12Al3In was computed for copper Kα.
Intensities are scaled so that the largest is 100.

Top 8 peaks for 10° ≤ 2θ ≤ 90°, low angle first:
Position (°2θ)  Rel. int.
18.73  13
26.61  11
32.74  100
37.99  50
42.68  7
54.81  35
65.33  41
68.63  12

Structure:
```
16
Lattice="4.735 0.000 0.000 0.000 4.735 0.000 0.000 0.000 18.968" Properties=species:S:1:pos:R:3 pbc="T T T"
Er 0.000 0.000 0.000
Er 0.000 0.000 4.699
Er 0.000 0.000 9.484
Er 0.000 0.000 14.270
Er 0.000 2.367 2.355
Er 0.000 2.367 7.029
Er 0.000 2.367 11.939
Er 0.000 2.367 16.613
Er 2.367 0.000 2.355
Er 2.367 0.000 7.029
Er 2.367 0.000 11.939
Er 2.367 0.000 16.613
Al 2.367 2.367 0.000
Al 2.367 2.367 4.710
Al 2.367 2.367 14.259
In 2.367 2.367 9.484
```

(13)
Starting from the PBE geometry in Alexandria, the powder diffractogram of Zr2BiPd6 was computed for copper Kα.
Intensities are scaled so that the largest is 100.

Top 8 peaks for 10° ≤ 2θ ≤ 90°, low angle first:
Position (°2θ)  Rel. int.
13.07  19
32.07  80
38.40  56
39.68  78
39.93  100
45.32  42
45.77  39
74.94  31

Structure:
```
9
Lattice="3.864 -7.032 0.000 3.864 7.032 0.000 0.000 0.000 3.063" Properties=species:S:1:pos:R:3 pbc="T T T"
Zr 3.864 4.403 0.000
Zr 3.864 -4.403 0.000
Bi 3.864 0.000 1.531
Pd 2.388 2.281 1.531
Pd 1.346 0.000 0.000
Pd 2.388 -2.281 1.531
Pd 5.339 2.281 1.531
Pd 6.382 0.000 0.000
Pd 5.339 -2.281 1.531
```